1.
The following is a computed powder diffraction line list of Nb3ZnAu. It was derived from a PBE-relaxed structure, using Cu Kα.
Peak positions follow from Bragg's law for the DFT cell and can differ from measured ones.

Cell and atoms:
Lattice parameters (Å, degrees): 7.024 7.024 7.024 90.00 90.00 90.00
Sites, in units of the cell vectors:
Nb1 0.049 0.123 0.793
Nb2 0.123 0.793 0.049
Nb3 0.207 0.549 0.377
Nb4 0.293 0.451 0.877
Nb5 0.377 0.207 0.549
Nb6 0.451 0.877 0.293
Nb7 0.549 0.377 0.207
Nb8 0.623 0.707 0.951
Nb9 0.707 0.951 0.623
Nb10 0.793 0.049 0.123
Nb11 0.877 0.293 0.451
Nb12 0.951 0.623 0.707
Zn1 0.062 0.938 0.438
Zn2 0.438 0.062 0.938
Zn3 0.562 0.562 0.562
Zn4 0.938 0.438 0.062
Au1 0.185 0.185 0.185
Au2 0.315 0.815 0.685
Au3 0.685 0.315 0.815
Au4 0.815 0.685 0.315

Peak list (6 most intense, 15 to 90 degrees two-theta, low angle first)
(hkl)	d/Å	I (rel.)
2 2 1	2.341	100
3 0 1	2.221	61
3 1 1	2.118	26
3 1 2	1.877	19
4 3 1	1.378	32
5 2 0	1.304	25

***

2.
The following is a computed powder diffraction line list of SiF4. It was derived from a PBE-relaxed structure, using Cu Kα.
Peak positions follow from Bragg's law for the DFT cell and can differ from measured ones.

Cell and atoms:
Lattice parameters (Å, degrees): 5.593 5.593 5.593 90.00 90.00 90.00
Sites, in units of the cell vectors:
Si1 0.000 0.000 0.000
Si2 0.500 0.500 0.500
F1 0.163 0.163 0.837
F2 0.163 0.837 0.163
F3 0.337 0.337 0.337
F4 0.337 0.663 0.663
F5 0.663 0.337 0.663
F6 0.663 0.663 0.337
F7 0.837 0.163 0.163
F8 0.837 0.837 0.837

Peak list (6 most intense, 15 to 90 degrees two-theta, low angle first)
(hkl)	d/Å	I (rel.)
1 1 0	3.955	100
2 1 1	2.283	47
2 2 0	1.977	10
3 2 1	1.495	16
3 3 0	1.318	16
4 3 1	1.097	9